Computed powder X-ray diffraction pattern
Compound: Li3Cr2P3O12
Radiation: Cu Kα
Structure: a DFT-relaxed cell (PBE+U, Alexandria)
Lines closer than 0.1° are merged.

Principal peaks in the range 2θ = 10–90°, by angle:
| 2θ/deg | I/Imax |
| --- | --- |
| 14.30 | 27 |
| 20.44 | 18 |
| 20.60 | 38 |
| 20.75 | 30 |
| 23.85 | 38 |
| 24.13 | 100 |
| 28.82 | 22 |
| 29.29 | 37 |
| 31.49 | 17 |
| 32.64 | 20 |
| 33.00 | 21 |
| 35.65 | 22 |

Crystal structure
Cell: 8.6254 8.6254 8.5627 Å, 118.67 118.67 60.51°
Fractional coordinates of all 40 atoms:
Li  0.1263  0.8737  0.5000
Li  0.2472  0.5004  0.1059
Li  0.5004  0.2472  0.6059
Li  0.5551  0.8208  0.5545
Li  0.8208  0.5551  0.0545
Li  0.8737  0.1263  0.0000
Cr  0.0410  0.5443  0.4406
Cr  0.3330  0.8293  0.1655
Cr  0.5443  0.0410  0.9406
Cr  0.8293  0.3330  0.6655
P  0.1427  0.2312  0.0530
P  0.2312  0.1427  0.5530
P  0.4330  0.6623  0.7592
P  0.6623  0.4330  0.2592
P  0.7115  0.9405  0.3467
P  0.9405  0.7115  0.8467
O  0.0745  0.1714  0.6127
O  0.1231  0.4290  0.2093
O  0.1251  0.7204  0.0112
O  0.1714  0.0745  0.1127
O  0.2029  0.2990  0.4932
O  0.2479  0.6543  0.5952
O  0.2507  0.9449  0.3968
O  0.2990  0.2029  0.9932
O  0.4242  0.7155  0.9526
O  0.4290  0.1231  0.7093
O  0.4639  0.5873  0.2283
O  0.4803  0.8093  0.7492
O  0.5648  0.8932  0.3572
O  0.5873  0.4639  0.7283
O  0.6543  0.2479  0.0952
O  0.6576  0.9498  0.1534
O  0.7155  0.4242  0.4526
O  0.7204  0.1251  0.5112
O  0.7856  0.9097  0.8764
O  0.8093  0.4803  0.2492
O  0.8932  0.5648  0.8572
O  0.9097  0.7856  0.3764
O  0.9449  0.2507  0.8968
O  0.9498  0.6576  0.6534